1.
Diffraction record for ZnCuP2O7. The powder X-ray diffraction pattern is theoretical, not measured: it uses a crystal structure in the Materials Project, relaxed with GGA-PBE and CuKα.

Top 10 peaks for 2θ = 5–70°, by angle:
2θ 20.18, I 24; 2θ 28.74, I 100; 2θ 29.12, I 44; 2θ 29.78, I 27; 2θ 29.96, I 48; 2θ 30.08, I 26; 2θ 33.97, I 22; 2θ 36.14, I 12; 2θ 42.84, I 15; 2θ 43.49, I 15

Structure:
```
ZnCuP2O7
1.0
5.6047 0.0000 0.0000
-2.1182 5.9825 0.0000
-0.0324 -0.8705 7.4478
Zn Cu P O
2 2 4 14
Direct
0.1738 0.1764 0.3562
0.8262 0.8236 0.6438
0.2280 0.6405 0.8185
0.7720 0.3595 0.1815
0.2802 0.7160 0.3884
0.3280 0.1713 0.8914
0.6720 0.8287 0.1086
0.7198 0.2840 0.6116
0.1098 0.4710 0.3170
0.1257 0.8696 0.4431
0.1435 0.9257 0.8453
0.2158 0.3360 0.8258
0.4201 0.2206 0.0906
0.4214 0.8203 0.2163
0.4620 0.7096 0.5366
0.5380 0.2904 0.4634
0.5786 0.1797 0.7837
0.5799 0.7794 0.9094
0.7842 0.6640 0.1742
0.8565 0.0743 0.1547
0.8743 0.1304 0.5569
0.8902 0.5290 0.6830
```

2.
Diffraction record for ZnCuP2O7. The powder X-ray diffraction pattern is theoretical, not measured: it uses a crystal structure in the Materials Project, relaxed with GGA-PBE and CuKα.

Top 10 peaks for 2θ = 5–70°, by angle:
2θ 13.64, I 19; 2θ 27.25, I 28; 2θ 27.49, I 100; 2θ 29.01, I 24; 2θ 30.03, I 48; 2θ 30.18, I 70; 2θ 34.37, I 31; 2θ 36.95, I 19; 2θ 43.84, I 23; 2θ 45.60, I 16

Structure:
```
ZnCuP2O7
1.0
6.2856 0.0000 0.0000
1.0434 6.2063 0.0000
2.5448 1.0743 6.4896
Zn Cu P O
2 2 4 14
Direct
0.2168 0.1101 0.3346
0.7832 0.8899 0.6654
0.4026 0.3292 0.7194
0.5974 0.6708 0.2806
0.1359 0.6174 0.1912
0.2762 0.8344 0.7488
0.7238 0.1656 0.2512
0.8641 0.3826 0.8088
0.1120 0.7644 0.9768
0.1120 0.9429 0.6313
0.1126 0.3701 0.6618
0.2352 0.3883 0.1410
0.2906 0.7377 0.2502
0.4299 0.6397 0.6606
0.4363 0.0001 0.7461
0.5637 0.9999 0.2539
0.5701 0.3603 0.3394
0.7094 0.2623 0.7498
0.7648 0.6117 0.8590
0.8874 0.6299 0.3382
0.8880 0.0571 0.3687
0.8880 0.2356 0.0232
```

3.
Diffraction record for ZnCu2PO8. The powder X-ray diffraction pattern is theoretical, not measured: it uses a crystal structure in the Materials Project, relaxed with GGA-PBE and CuKα.

Top 10 peaks for 2θ = 5–70°, by angle:
2θ 13.23, I 62; 2θ 20.06, I 34; 2θ 21.89, I 89; 2θ 26.17, I 100; 2θ 28.07, I 30; 2θ 30.67, I 47; 2θ 35.15, I 67; 2θ 38.35, I 50; 2θ 41.61, I 35; 2θ 43.01, I 38

Structure:
```
ZnCu2PO8
1.0
6.8592 0.0000 0.0000
0.0000 8.8502 0.0000
-1.2125 0.0000 10.2208
Zn Cu P O
4 8 4 32
Direct
0.0651 0.0542 0.2103
0.0651 0.4458 0.7103
0.9349 0.5542 0.2897
0.9349 0.9458 0.7897
0.4813 0.2227 0.3618
0.4813 0.2773 0.8618
0.4985 0.0792 0.1182
0.4985 0.4208 0.6182
0.5015 0.5792 0.3818
0.5015 0.9208 0.8818
0.5187 0.7227 0.1382
0.5187 0.7773 0.6382
0.0888 0.2386 0.9423
0.0888 0.2614 0.4423
0.9112 0.7386 0.5577
0.9112 0.7614 0.0577
0.0063 0.6916 0.4378
0.0063 0.8084 0.9378
0.0277 0.6275 0.1278
0.0277 0.8725 0.6278
0.1112 0.1124 0.8411
0.1112 0.3876 0.3411
0.2990 0.5997 0.0359
0.2990 0.9003 0.5359
0.3070 0.2068 0.4903
0.3070 0.2932 0.9903
0.3614 0.0625 0.2615
0.3614 0.4375 0.7615
0.3982 0.7406 0.2870
0.3982 0.7594 0.7870
0.4004 0.6015 0.5451
0.4004 0.8985 0.0451
0.5996 0.1015 0.9549
0.5996 0.3985 0.4549
0.6018 0.2406 0.2130
0.6018 0.2594 0.7130
0.6386 0.5625 0.2385
0.6386 0.9375 0.7385
0.6930 0.7068 0.0097
0.6930 0.7932 0.5097
0.7010 0.0997 0.4641
0.7010 0.4003 0.9641
0.8888 0.6124 0.6589
0.8888 0.8876 0.1589
0.9723 0.1275 0.3722
0.9723 0.3725 0.8722
0.9937 0.1916 0.0622
0.9937 0.3084 0.5622
```